No. 1
Starting from a DFT-relaxed cell (GGA-PBE, Alexandria), the X-ray powder pattern of TcRuPt14 was computed for copper Kα.

Peak list (6 most intense, 5° ≤ 2θ ≤ 70°, in order of rising 2θ)
2θ 25.17, intensity 1, (1 1 1)
2θ 39.47, intensity 100, (2 0 2)
2θ 45.84, intensity 33, (2 2 0)
2θ 46.01, intensity 16, (0 0 4)
2θ 66.83, intensity 11, (4 0 0)
2θ 66.97, intensity 21, (2 2 4)

Crystal structure
```
data_TcRuPt14
_chemical_formula_sum 'Tc1 Ru1 Pt14'
_space_group_name_H-M_alt 'P 4/m m m'
_space_group_IT_number 123
_space_group_name_Hall '-P 4 2'
_cell_length_a 5.599
_cell_length_b 5.599
_cell_length_c 7.891
_cell_angle_alpha 90.00
_cell_angle_beta 90.00
_cell_angle_gamma 90.00
loop_
_atom_site_label
_atom_site_fract_x
_atom_site_fract_y
_atom_site_fract_z
Tc1 0.000 0.000 0.000
Ru1 0.500 0.500 0.000
Pt1 0.000 0.000 0.500
Pt2 0.000 0.500 0.000
Pt3 0.000 0.500 0.500
Pt4 0.249 0.249 0.243
Pt5 0.500 0.500 0.500
```

No. 2
Starting from a DFT-relaxed cell (GGA-PBE, Alexandria), the X-ray powder pattern of Ba2RuRh3O12 was computed for copper Kα.

Peak list (6 most intense, 5° ≤ 2θ ≤ 70°, in order of rising 2θ)
2θ 29.04, intensity 57, (0 1 5)
2θ 29.45, intensity 100, (1 1 3)
2θ 29.66, intensity 51, (0 2 1)
2θ 30.94, intensity 52, (2 0 2)
2θ 50.78, intensity 42, (2 0 8)
2θ 51.81, intensity 39, (2 2 0)

Crystal structure
```
data_Ba2RuRh3O12
_chemical_formula_sum 'Ba6 Ru3 Rh9 O36'
_space_group_name_H-M_alt 'R -3 m'
_space_group_IT_number 166
_space_group_name_Hall '-R 3 2"'
_cell_length_a 7.0581
_cell_length_b 7.0581
_cell_length_c 17.7894
_cell_angle_alpha 90.00
_cell_angle_beta 90.00
_cell_angle_gamma 120.00
loop_
_atom_site_label
_atom_site_fract_x
_atom_site_fract_y
_atom_site_fract_z
Ba1 0.0000 0.0000 0.1228
Ru1 0.0000 0.0000 0.5000
Rh1 0.0000 0.5000 0.0000
O1 0.0586 0.5293 0.3628
O2 0.0696 0.5348 0.1090
```

No. 3
Starting from a DFT-relaxed cell (GGA-PBE, Alexandria), the X-ray powder pattern of RbH6S2O2 was computed for copper Kα.

Peak list (6 most intense, 5° ≤ 2θ ≤ 70°, in order of rising 2θ)
2θ 15.58, intensity 96, (0 1 -1)
2θ 20.99, intensity 46, (1 0 0)
2θ 24.16, intensity 96, (0 1 1)
2θ 25.04, intensity 100, (1 -1 1)
2θ 31.06, intensity 53, (0 2 0)
2θ 31.27, intensity 69, (1 1 -2)

Crystal structure
```
data_RbH6S2O2
_chemical_formula_sum 'Rb1 H6 S2 O2'
_space_group_name_H-M_alt 'P -1'
_space_group_IT_number 2
_space_group_name_Hall '-P 1'
_cell_length_a 4.486
_cell_length_b 6.498
_cell_length_c 7.450
_cell_angle_alpha 111.54
_cell_angle_beta 97.95
_cell_angle_gamma 103.25
loop_
_atom_site_label
_atom_site_fract_x
_atom_site_fract_y
_atom_site_fract_z
Rb1 0.000 0.000 0.000
H1 0.127 0.390 0.688
H2 0.356 0.900 0.633
H3 0.444 0.837 0.286
S1 0.138 0.558 0.363
O1 0.452 0.044 0.757
```

No. 4
Starting from a DFT-relaxed cell (GGA-PBE, Alexandria), the X-ray powder pattern of BaTc3P3 was computed for copper Kα.

Peak list (6 most intense, 5° ≤ 2θ ≤ 70°, in order of rising 2θ)
2θ 11.65, intensity 100, (1 0 0)
2θ 23.42, intensity 44, (2 0 0)
2θ 31.15, intensity 46, (1 2 0)
2θ 37.44, intensity 81, (1 2 1)
2θ 41.17, intensity 36, (0 0 2)
2θ 46.29, intensity 31, (2 2 1)

Crystal structure
```
data_BaTc3P3
_chemical_formula_sum 'Ba2 Tc6 P6'
_space_group_name_H-M_alt 'P 63/m'
_space_group_IT_number 176
_space_group_name_Hall '-P 6c'
_cell_length_a 8.7714
_cell_length_b 8.7714
_cell_length_c 4.3856
_cell_angle_alpha 90.00
_cell_angle_beta 90.00
_cell_angle_gamma 120.00
loop_
_atom_site_label
_atom_site_fract_x
_atom_site_fract_y
_atom_site_fract_z
Ba1 0.3333 0.6667 0.2500
Tc1 0.0382 0.8429 0.2500
P1 0.0689 0.7189 0.7500
```